The following is a simulated X-ray diffraction stick pattern of NdCuTe2PbS. It was derived from a cell relaxed with GGA-PBE, using Cu Kα, 1.54184 Å.
Neutral-atom scattering factors, no anomalous dispersion.

Crystal structure
a b c (Å): 7.5419 7.5419 10.6730
angles (deg): 90.00 90.00 147.33
Element x y z (fractional)
1 Nd 0.0000 0.0000 0.0000
2 Nd 0.0000 0.0000 0.5000
3 Cu 0.4778 0.5222 0.7500
4 Cu 0.5222 0.4778 0.2500
5 Te 0.3487 0.6513 0.5708
6 Te 0.3487 0.6513 0.9292
7 Te 0.6513 0.3487 0.0708
8 Te 0.6513 0.3487 0.4292
9 Pb 0.2742 0.7258 0.2500
10 Pb 0.7258 0.2742 0.7500
11 S 0.0650 0.9350 0.7500
12 S 0.9350 0.0650 0.2500

Top 10 peaks for 2θ = 10–80°, by intensity:
27.99°, I 100; 33.45°, I 67; 29.26°, I 51; 32.74°, I 33; 41.38°, I 32; 20.68°, I 30; 42.63°, I 30; 42.07°, I 21; 60.69°, I 21; 41.06°, I 20

The following is a simulated X-ray diffraction stick pattern of Cu7Ag2. It was derived from a cell relaxed with GGA-PBE, using Cu Kα, 1.54184 Å.
Neutral-atom scattering factors, no anomalous dispersion.

Crystal structure
a b c (Å): 6.9904 6.9904 6.4274
angles (deg): 91.55 91.55 22.35
Element x y z (fractional)
1 Cu 0.0000 0.0000 0.0000
2 Cu 0.1081 0.1081 0.6476
3 Cu 0.2218 0.2218 0.3461
4 Cu 0.4484 0.4484 0.6663
5 Cu 0.5516 0.5516 0.3337
6 Cu 0.7782 0.7782 0.6539
7 Cu 0.8919 0.8919 0.3524
8 Ag 0.3384 0.3384 0.0045
9 Ag 0.6616 0.6616 0.9955

Top 10 peaks for 2θ = 10–80°, by intensity:
41.39°, I 100; 47.90°, I 64; 41.58°, I 49; 42.20°, I 46; 49.59°, I 28; 70.98°, I 18; 71.85°, I 16; 70.76°, I 10; 69.37°, I 10; 13.78°, I 6

The following is a simulated X-ray diffraction stick pattern of TbZn8Ni4. It was derived from a cell relaxed with GGA-PBE, using Cu Kα, 1.54184 Å.
Neutral-atom scattering factors, no anomalous dispersion.

Crystal structure
a b c (Å): 6.5529 6.5529 6.5529
angles (deg): 98.53 98.53 134.69
Element x y z (fractional)
1 Tb 0.0000 0.0000 0.0000
2 Zn 0.0000 0.3420 0.3420
3 Zn 0.0000 0.6580 0.6580
4 Zn 0.2773 0.5000 0.7773
5 Zn 0.3420 0.0000 0.3420
6 Zn 0.5000 0.2773 0.7773
7 Zn 0.5000 0.7227 0.2227
8 Zn 0.6580 0.0000 0.6580
9 Zn 0.7227 0.5000 0.2227
10 Ni 0.0000 0.0000 0.5000
11 Ni 0.0000 0.5000 0.0000
12 Ni 0.5000 0.0000 0.0000
13 Ni 0.5000 0.5000 0.5000

Top 10 peaks for 2θ = 10–80°, by intensity:
42.09°, I 100; 41.54°, I 68; 42.27°, I 64; 36.19°, I 52; 46.89°, I 43; 77.17°, I 26; 29.30°, I 23; 76.80°, I 23; 68.35°, I 22; 35.56°, I 22